CaPm2Nd: computed powder X-ray diffraction pattern (Cu Kα (weighted mean of Kα1 and Kα2)), based on the PBE geometry in Alexandria.

Peak list (8 most intense, 2θ from 15° to 90°, by angle)
two_theta, I/Imax
28.32, 44
29.22, 44
30.49, 100
32.80, 69
37.30, 32
49.35, 32
51.06, 26
58.38, 37

Structural model:
a = 3.6935 Å, b = 3.6935 Å, c = 36.6766 Å
α = 90.00°, β = 90.00°, γ = 120.00°
Space group R3m (No. 160, hexagonal axes)
One atom of each set of equivalent atoms:
Ca 0.0000 0.0000 0.0000 (multiplicity 3)
Pm 0.0000 0.0000 0.2471 (multiplicity 3)
Pm 0.0000 0.0000 0.4206 (multiplicity 3)
Nd 0.0000 0.0000 0.8340 (multiplicity 3)